# 1
The following is a simulated powder XRD pattern of Ho2ZrSe5. It was derived from a structure optimized by DFT (GGA-PBE), using Cu Kα.

Top 6 peaks for 5° ≤ 2θ ≤ 70°, sorted by position:
two_theta, I (rel.), h k l
13.12, 51, 0 2 0
17.42, 100, 1 1 0
24.01, 79, 0 2 3
32.58, 75, 2 0 0
33.37, 63, 0 4 3
47.33, 47, 2 4 3

Crystal structure
a = 5.496 Å, b = 13.499 Å, c = 13.301 Å
α = 90.00°, β = 90.00°, γ = 90.00°
Space group Cmcm (No. 63)
Unique sites:
Ho  0.000  0.149  0.059 x8
Zr  0.000  0.195  0.750 x4
Se  0.000  0.048  0.623 x8
Se  0.000  0.260  0.250 x4
Se  0.000  0.316  0.580 x8


# 2
The following is a simulated powder XRD pattern of InBP2H5NO9. It was derived from a structure optimized by DFT (GGA-PBE), using Cu Kα.

Top 6 peaks for 5° ≤ 2θ ≤ 70°, sorted by position:
two_theta, I (rel.), h k l
14.40, 100, 0 1 1
19.14, 51, 1 0 1
21.19, 64, 0 2 0
25.87, 40, 1 0 2
27.43, 38, 1 0 -2
33.83, 34, 2 0 0

Crystal structure
a = 5.376 Å, b = 8.505 Å, c = 8.649 Å
α = 86.83°, β = 86.18°, γ = 80.77°
Space group P-1 (No. 2)
Unique sites:
In  0.219  0.213  0.321 x2
B  0.394  0.569  0.221 x2
P  0.284  0.811  0.430 x2
P  0.299  0.687  0.914 x2
H  0.067  0.084  0.784 x2
H  0.118  0.538  0.386 x2
H  0.142  0.155  0.952 x2
H  0.310  0.191  0.786 x2
H  0.336  0.003  0.865 x2
N  0.213  0.109  0.847 x2
O  0.044  0.774  0.862 x2
O  0.054  0.728  0.487 x2
O  0.190  0.962  0.328 x2
O  0.229  0.471  0.312 x2
O  0.252  0.653  0.091 x2
O  0.368  0.526  0.832 x2
O  0.438  0.846  0.561 x2
O  0.463  0.690  0.322 x2
O  0.490  0.209  0.115 x2


# 3
The following is a simulated powder XRD pattern of BiIrW. It was derived from a structure optimized by DFT (GGA-PBE), using Cu Kα.

Top 6 peaks for 5° ≤ 2θ ≤ 70°, sorted by position:
two_theta, I (rel.), h k l
31.48, 10, 1 0 2
36.88, 100, 1 0 3
37.78, 62, 1 1 0
54.50, 22, 2 0 0
65.85, 9, 1 1 6
67.63, 35, 2 1 3

Crystal structure
a = 3.367 Å, b = 3.367 Å, c = 10.595 Å
α = 90.00°, β = 90.00°, γ = 90.00°
Space group P4/mmm (No. 123)
Unique sites:
Bi  0.000  0.000  0.171 x2
Ir  0.000  0.000  0.500 x1
Ir  0.500  0.500  0.000 x1
W  0.500  0.500  0.383 x2


# 4
The following is a simulated powder XRD pattern of Te2IrPt. It was derived from a structure optimized by DFT (GGA-PBE), using Cu Kα.

Top 6 peaks for 5° ≤ 2θ ≤ 70°, sorted by position:
two_theta, I (rel.), h k l
12.91, 48, 0 0 3
31.15, 100, 1 0 4
40.26, 32, 1 0 7
45.38, 45, 1 1 0
55.89, 21, 0 1 11
56.07, 19, 0 2 4

Crystal structure
a = 3.9967 Å, b = 3.9967 Å, c = 20.5682 Å
α = 90.00°, β = 90.00°, γ = 120.00°
Space group R3m (No. 160, hexagonal axes)
Unique sites:
Te  0.0000  0.0000  0.0000 x3
Te  0.0000  0.0000  0.1895 x3
Ir  0.0000  0.0000  0.4658 x3
Pt  0.0000  0.0000  0.7252 x3


# 5
The following is a simulated powder XRD pattern of CsMg2In2. It was derived from a structure optimized by DFT (GGA-PBE), using Cu Kα.

Top 6 peaks for 5° ≤ 2θ ≤ 70°, sorted by position:
two_theta, I (rel.), h k l
23.94, 85, 1 1 0
27.83, 100, 1 0 3
28.15, 41, 1 1 2
34.11, 61, 2 0 0
40.95, 39, 1 0 5
44.58, 54, 2 1 3

Crystal structure
a = 5.257 Å, b = 5.257 Å, c = 12.137 Å
α = 90.00°, β = 90.00°, γ = 90.00°
Space group I4/mmm (No. 139)
Unique sites:
Cs  0.000  0.000  0.000 x2
Mg  0.000  0.500  0.250 x4
In  0.000  0.000  0.377 x4


# 6
The following is a simulated powder XRD pattern of Al2Zn3. It was derived from a structure optimized by DFT (GGA-PBE), using Cu Kα.

Top 6 peaks for 5° ≤ 2θ ≤ 70°, sorted by position:
two_theta, I (rel.), h k l
16.60, 20, 0 0 6
38.22, 100, 0 1 5
42.30, 26, 0 0 15
45.67, 59, 1 0 10
63.66, 21, 1 1 0
69.41, 16, 0 1 20

Crystal structure
a = 2.9233 Å, b = 2.9233 Å, c = 32.0495 Å
α = 90.00°, β = 90.00°, γ = 120.00°
Space group R-3m (No. 166, hexagonal axes)
Unique sites:
Al  0.0000  0.0000  0.0996 x6
Zn  0.0000  0.0000  0.3010 x6
Zn  0.0000  0.0000  0.5000 x3